Diffraction record for Ba4Tl13Hg3. The PXRD pattern is theoretical, not measured: it uses a GGA-PBE-relaxed structure and copper Kα.
Intensities are scaled so that the largest is 100.

The 8 most intense peaks (10° ≤ 2θ ≤ 90°), most intense first:
- 28.7°, rel. 100
- 30.1°, rel. 79
- 33.9°, rel. 62
- 63.5°, rel. 23
- 38.2°, rel. 21
- 28.0°, rel. 20
- 32.9°, rel. 20
- 31.7°, rel. 20

Structural model:
a = 6.865 Å, b = 6.865 Å, c = 20.180 Å
α = 99.82°, β = 99.82°, γ = 45.37°
Sites, in units of the cell vectors:
Ba1 0.000 0.000 0.000
Ba2 0.143 0.143 0.793
Ba3 0.500 0.500 0.498
Ba4 0.645 0.645 0.294
Tl1 0.198 0.198 0.170
Tl2 0.217 0.217 0.583
Tl3 0.292 0.292 0.980
Tl4 0.354 0.354 0.314
Tl5 0.434 0.434 0.707
Tl6 0.450 0.450 0.123
Tl7 0.459 0.459 0.870
Tl8 0.695 0.695 0.668
Tl9 0.712 0.712 0.083
Tl10 0.792 0.792 0.479
Tl11 0.847 0.847 0.813
Tl12 0.928 0.928 0.209
Tl13 0.949 0.949 0.622
Hg1 0.188 0.188 0.421
Hg2 0.693 0.693 0.921
Hg3 0.957 0.957 0.371